No. 1
This entry pairs a crystal structure of Pm4Dy7Tl with its calculated powder X-ray diffraction pattern. Radiation: CuKα. Structure: a GGA-PBE-relaxed structure.
Intensities are scaled so that the largest is 100.

Top 12 peaks for 2θ from 15° to 90°, by angle:
(1 0 4), 2θ 30.6, intensity 100
(0 0 12), 2θ 31.2, intensity 29
(0 1 8), 2θ 35.7, intensity 64
(1 1 0), 2θ 50.9, intensity 25
(1 0 16), 2θ 51.7, intensity 19
(0 2 4), 2θ 60.6, intensity 14
(1 1 12), 2θ 61.0, intensity 26
(0 1 20), 2θ 61.7, intensity 10
(2 0 8), 2θ 63.7, intensity 12
(2 1 4), 2θ 83.1, intensity 12
(1 2 8), 2θ 85.8, intensity 11
(1 1 24), 2θ 87.1, intensity 7

Structure:
Lattice parameters (Å, degrees): 3.5853 3.5853 34.3689 90.00 90.00 120.00
Space group P-3m1 (No. 164)
Unique sites:
Pm  0.3333  0.6667  0.1605 x2
Pm  0.3333  0.6667  0.4149 x2
Dy  0.0000  0.0000  0.2462 x2
Dy  0.0000  0.0000  0.5000 x1
Dy  0.3333  0.6667  0.6705 x2
Dy  0.3333  0.6667  0.9238 x2
Tl  0.0000  0.0000  0.0000 x1

---

No. 2
This entry pairs a crystal structure of Pm4Dy2Tl with its calculated powder X-ray diffraction pattern. Radiation: CuKα. Structure: a GGA-PBE-relaxed structure.
Intensities are scaled so that the largest is 100.

Top 12 peaks for 2θ from 15° to 90°, by angle:
(1 3 -2), 2θ 29.0, intensity 22
(1 1 -4), 2θ 30.9, intensity 100
(0 4 1), 2θ 31.3, intensity 25
(2 2 -1), 2θ 32.1, intensity 59
(1 3 2), 2θ 32.8, intensity 34
(2 2 -2), 2θ 33.0, intensity 23
(0 4 2), 2θ 34.0, intensity 17
(1 3 3), 2θ 37.8, intensity 21
(3 1 2), 2θ 51.6, intensity 18
(0 2 7), 2θ 56.5, intensity 16
(3 5 -3), 2θ 60.0, intensity 18
(2 0 -8), 2θ 62.1, intensity 15

Structure:
Lattice parameters (Å, degrees): 6.338 11.779 12.278 90.00 104.92 90.00
Space group Cc (No. 9)
Unique sites:
Pm  0.000  0.042  0.000 x4
Pm  0.056  0.383  0.630 x4
Pm  0.131  0.141  0.282 x4
Pm  0.209  0.291  0.912 x4
Dy  0.360  0.171  0.572 x4
Dy  0.485  0.072  0.839 x4
Tl  0.400  0.378  0.208 x4

---

No. 3
This entry pairs a crystal structure of Pm5DyTl3 with its calculated powder X-ray diffraction pattern. Radiation: CuKα. Structure: a GGA-PBE-relaxed structure.
Intensities are scaled so that the largest is 100.

Top 12 peaks for 2θ from 15° to 90°, by angle:
(0 0 2), 2θ 25.9, intensity 9
(1 1 2), 2θ 32.1, intensity 88
(3 0 0), 2θ 32.4, intensity 100
(3 0 2), 2θ 42.0, intensity 15
(2 2 2), 2θ 46.2, intensity 32
(0 0 4), 2θ 53.3, intensity 8
(4 1 2), 2θ 57.6, intensity 33
(3 3 0), 2θ 57.8, intensity 19
(3 0 4), 2θ 63.8, intensity 29
(6 0 0), 2θ 67.9, intensity 12
(5 2 2), 2θ 77.0, intensity 14
(3 3 4), 2θ 82.5, intensity 14

Structure:
Lattice parameters (Å, degrees): 9.5683 9.5683 6.8727 90.00 90.00 120.00
Space group P6_3/mcm (No. 193)
Unique sites:
Pm  0.0000  0.3373  0.2500 x6
Pm  0.3333  0.6667  0.0000 x4
Dy  0.0000  0.0000  0.0000 x2
Tl  0.0000  0.3271  0.7500 x6

---

No. 4
This entry pairs a crystal structure of PmDyYTl with its calculated powder X-ray diffraction pattern. Radiation: CuKα. Structure: a GGA-PBE-relaxed structure.
Intensities are scaled so that the largest is 100.

Top 12 peaks for 2θ from 15° to 90°, by angle:
(1 1 1), 2θ 31.6, intensity 100
(0 0 2), 2θ 36.3, intensity 17
(0 2 0), 2θ 36.8, intensity 17
(2 0 0), 2θ 37.0, intensity 16
(0 2 2), 2θ 52.6, intensity 12
(2 0 2), 2θ 52.8, intensity 12
(2 2 0), 2θ 53.2, intensity 12
(1 1 3), 2θ 62.4, intensity 14
(1 3 1), 2θ 63.0, intensity 14
(3 1 1), 2θ 63.4, intensity 14
(2 2 2), 2θ 66.1, intensity 12
(1 3 3), 2θ 86.3, intensity 6

Structure:
Lattice parameters (Å, degrees): 4.854 4.889 4.948 90.00 90.00 90.00
Space group Pmmm (No. 47)
Unique sites:
Pm  0.000  0.000  0.000 x1
Dy  0.500  0.500  0.000 x1
Y  0.500  0.000  0.500 x1
Tl  0.000  0.500  0.500 x1

---

No. 5
This entry pairs a crystal structure of Pm2Dy3Tm8 with its calculated powder X-ray diffraction pattern. Radiation: CuKα. Structure: a GGA-PBE-relaxed structure.
Intensities are scaled so that the largest is 100.

Top 12 peaks for 2θ from 15° to 90°, by angle:
(2 0 0), 2θ 25.1, intensity 16
(1 1 -3), 2θ 29.6, intensity 27
(0 1 3), 2θ 30.8, intensity 29
(0 2 0), 2θ 32.6, intensity 37
(2 1 1), 2θ 33.7, intensity 100
(0 0 4), 2θ 34.9, intensity 14
(2 2 0), 2θ 41.6, intensity 11
(0 2 4), 2θ 48.5, intensity 11
(2 3 1), 2θ 58.9, intensity 21
(4 2 -2), 2θ 59.5, intensity 9
(3 2 -6), 2θ 64.8, intensity 10
(0 4 0), 2θ 68.4, intensity 13

Structure:
Lattice parameters (Å, degrees): 7.545 5.488 10.947 90.00 110.14 90.00
Space group P2/m (No. 10)
Unique sites:
Pm  0.241  0.000  0.481 x2
Dy  0.000  0.000  0.000 x1
Dy  0.287  0.500  0.000 x2
Tm  0.129  0.500  0.258 x2
Tm  0.179  0.000  0.784 x2
Tm  0.338  0.500  0.676 x2
Tm  0.394  0.000  0.216 x2

---

No. 6
This entry pairs a crystal structure of Pm7Dy3Tm with its calculated powder X-ray diffraction pattern. Radiation: CuKα. Structure: a GGA-PBE-relaxed structure.
Intensities are scaled so that the largest is 100.

Top 12 peaks for 2θ from 15° to 90°, by angle:
(0 2 1), 2θ 30.6, intensity 100
(0 0 3), 2θ 31.0, intensity 32
(2 0 2), 2θ 35.6, intensity 67
(2 2 0), 2θ 51.0, intensity 24
(0 2 4), 2θ 51.5, intensity 23
(4 0 1), 2θ 60.7, intensity 14
(2 2 3), 2θ 60.9, intensity 28
(2 0 5), 2θ 61.3, intensity 14
(0 4 2), 2θ 63.8, intensity 12
(2 4 1), 2θ 83.2, intensity 12
(4 2 2), 2θ 86.0, intensity 11
(2 2 6), 2θ 86.6, intensity 11

Structure:
Lattice parameters (Å, degrees): 7.1572 7.1572 8.6675 90.00 90.00 120.00
Space group P3m1 (No. 156)
Unique sites:
Pm  0.0000  0.0000  0.0000 x1
Pm  0.1659  0.3318  0.3318 x3
Pm  0.5008  0.0016  0.9888 x3
Dy  0.3346  0.1673  0.6585 x3
Tm  0.6667  0.3333  0.3218 x1

---

No. 7
This entry pairs a crystal structure of Pm2Dy5Tm with its calculated powder X-ray diffraction pattern. Radiation: CuKα. Structure: a GGA-PBE-relaxed structure.
Intensities are scaled so that the largest is 100.

Top 12 peaks for 2θ from 15° to 90°, by angle:
(2 0 1), 2θ 30.8, intensity 100
(2 4 0), 2θ 35.7, intensity 51
(4 0 0), 2θ 51.3, intensity 36
(4 4 1), 2θ 61.0, intensity 29
(2 0 3), 2θ 61.1, intensity 14
(4 0 2), 2θ 64.1, intensity 12
(4 8 0), 2θ 75.5, intensity 4
(0 0 4), 2θ 75.7, intensity 2
(6 0 1), 2θ 83.7, intensity 6
(4 4 3), 2θ 83.8, intensity 12
(6 4 0), 2θ 86.4, intensity 11
(2 4 4), 2θ 86.5, intensity 6

Structure:
Lattice parameters (Å, degrees): 7.127 14.253 5.028 90.00 90.00 90.00
Space group Pbam (No. 55)
Unique sites:
Pm  0.249  0.125  0.000 x4
Dy  0.000  0.500  0.500 x2
Dy  0.001  0.750  0.500 x4
Dy  0.249  0.375  0.000 x4
Tm  0.000  0.000  0.500 x2

---

No. 8
This entry pairs a crystal structure of Pm4DyTm with its calculated powder X-ray diffraction pattern. Radiation: CuKα. Structure: a GGA-PBE-relaxed structure.
Intensities are scaled so that the largest is 100.

Top 12 peaks for 2θ from 15° to 90°, by angle:
(0 5 1), 2θ 24.5, intensity 7
(0 0 2), 2θ 29.1, intensity 20
(2 0 0), 2θ 30.8, intensity 32
(1 6 1), 2θ 31.9, intensity 100
(1 1 2), 2θ 33.3, intensity 24
(2 0 2), 2θ 42.9, intensity 14
(0 12 0), 2θ 48.5, intensity 9
(3 6 1), 2θ 55.5, intensity 21
(3 1 2), 2θ 56.4, intensity 9
(2 12 0), 2θ 58.6, intensity 10
(2 7 3), 2θ 62.6, intensity 7
(2 12 2), 2θ 66.8, intensity 7

Structure:
Lattice parameters (Å, degrees): 5.805 22.504 6.133 90.00 90.00 90.00
Space group Imma (No. 74)
Unique sites:
Pm  0.000  0.087  0.053 x8
Pm  0.000  0.169  0.571 x8
Dy  0.000  0.000  0.500 x4
Tm  0.000  0.250  0.079 x4